Computed PXRD pattern of NaYGeO4 for CuKα, from the GGA-PBE geometry in Alexandria.
Neutral-atom scattering factors, no anomalous dispersion.

The 10 most intense peaks (2θ = 10–90°), sorted by position:
| h k l | d [Å] | I_rel |
| --- | --- | --- |
| 1 0 1 | 4.842 | 37 |
| 2 1 0 | 4.320 | 24 |
| 1 1 1 | 3.888 | 31 |
| 0 2 0 | 3.261 | 41 |
| 3 0 1 | 3.119 | 28 |
| 3 1 1 | 2.813 | 100 |
| 1 2 1 | 2.705 | 47 |
| 4 1 0 | 2.637 | 17 |
| 2 2 2 | 1.944 | 22 |
| 3 3 1 | 1.783 | 26 |

Atomic structure:
```
data_NaYGeO4
_symmetry_space_group_name_H-M 'P n m a'
_symmetry_Int_Tables_number 62
_cell_length_a 11.5309
_cell_length_b 6.5221
_cell_length_c 5.3348
_cell_angle_alpha 90.00
_cell_angle_beta 90.00
_cell_angle_gamma 90.00
loop_
_symmetry_equiv_pos_as_xyz
'x,y,z'
'-x,-y,-z'
'-x+1/2,-y,z+1/2'
'x+1/2,y,-z+1/2'
'x+1/2,-y+1/2,-z+1/2'
'-x+1/2,y+1/2,z+1/2'
'-x,y+1/2,-z'
'x,-y+1/2,z'
loop_
_atom_site_label
_atom_site_fract_x
_atom_site_fract_y
_atom_site_fract_z
_atom_site_occupancy
Na1 0.0000 0.0000 0.0000 1
Y1 0.2223 0.2500 0.4960 1
Ge1 0.0973 0.7500 0.5543 1
O1 0.0453 0.2500 0.3258 1
O2 0.1105 0.7500 0.2281 1
O3 0.1740 0.5427 0.7077 1
```

---

Computed PXRD pattern of Na4Zr2Ge5O17 for CuKα, from the GGA-PBE geometry in Alexandria.
Neutral-atom scattering factors, no anomalous dispersion.

The 10 most intense peaks (2θ = 10–90°), sorted by position:
| h k l | d [Å] | I_rel |
| --- | --- | --- |
| 1 0 0 | 6.889 | 43 |
| 0 0 4 | 5.138 | 37 |
| 1 1 -1 | 4.393 | 81 |
| 1 1 -3 | 3.999 | 50 |
| 0 0 6 | 3.425 | 42 |
| 1 1 -5 | 3.295 | 81 |
| 2 1 -1 | 3.003 | 100 |
| 1 0 6 | 2.763 | 54 |
| 1 1 -7 | 2.666 | 31 |
| 3 2 -6 | 1.739 | 31 |

Atomic structure:
```
data_Na4Zr2Ge5O17
_symmetry_space_group_name_H-M 'P 1 2/c 1'
_symmetry_Int_Tables_number 13
_cell_length_a 7.2018
_cell_length_b 5.5466
_cell_length_c 21.4866
_cell_angle_alpha 90.00
_cell_angle_beta 106.96
_cell_angle_gamma 90.00
loop_
_symmetry_equiv_pos_as_xyz
'x,y,z'
'-x,-y,-z'
'-x,y,-z+1/2'
'x,-y,z+1/2'
loop_
_atom_site_label
_atom_site_fract_x
_atom_site_fract_y
_atom_site_fract_z
_atom_site_occupancy
Na1 0.1164 0.2410 0.4728 1
Na2 0.2620 0.0009 0.7905 1
Zr1 0.3792 0.2349 0.0893 1
Ge1 0.1440 0.2579 0.6354 1
Ge2 0.3090 0.2819 0.9221 1
Ge3 0.5000 0.4912 0.7500 1
O1 0.0000 0.2534 0.2500 1
O2 0.0922 0.2886 0.8528 1
O3 0.1544 0.0394 0.1095 1
O4 0.1825 0.4683 0.5794 1
O5 0.2449 0.1670 0.9895 1
O6 0.3016 0.2861 0.7176 1
O7 0.3896 0.4171 0.4369 1
O8 0.4606 0.0866 0.8951 1
O9 0.4762 0.3304 0.3138 1
```

---

Computed PXRD pattern of Na4Zr2Ge3O12 for CuKα, from the GGA-PBE geometry in Alexandria.
Neutral-atom scattering factors, no anomalous dispersion.

The 10 most intense peaks (2θ = 10–90°), sorted by position:
| h k l | d [Å] | I_rel |
| --- | --- | --- |
| 1 1 0 | 4.802 | 17 |
| 1 0 4 | 4.689 | 46 |
| 2 -1 3 | 4.055 | 87 |
| 0 2 4 | 3.355 | 32 |
| 2 1 1 | 3.114 | 32 |
| 1 1 6 | 2.972 | 100 |
| 3 0 0 | 2.773 | 83 |
| 2 1 4 | 2.750 | 18 |
| 4 -2 6 | 2.027 | 34 |
| 4 1 6 | 1.637 | 26 |

Atomic structure:
```
data_Na4Zr2Ge3O12
_symmetry_space_group_name_H-M 'R -3'
_symmetry_Int_Tables_number 148
_symmetry_space_group_name_Hall '-R 3'
_cell_length_a 9.6045
_cell_length_b 9.6045
_cell_length_c 22.7056
_cell_angle_alpha 90.00
_cell_angle_beta 90.00
_cell_angle_gamma 120.00
loop_
_atom_site_label
_atom_site_fract_x
_atom_site_fract_y
_atom_site_fract_z
_atom_site_occupancy
Na1 0.0000 0.0000 0.0000 1
Na2 0.0000 0.0000 0.5000 1
Na3 0.9999 0.3791 0.2508 1
Zr1 0.0000 0.0000 0.1443 1
Zr2 0.0000 0.0000 0.3554 1
Ge1 0.0002 0.2950 0.7502 1
O1 0.0118 0.8166 0.1864 1
O2 0.0128 0.8365 0.9188 1
O3 0.0210 0.1987 0.6872 1
O4 0.0257 0.1819 0.4184 1
```

---

Computed PXRD pattern of NaGe12Os4 for CuKα, from the GGA-PBE geometry in Alexandria.
Neutral-atom scattering factors, no anomalous dispersion.

The 10 most intense peaks (2θ = 10–90°), sorted by position:
| h k l | d [Å] | I_rel |
| --- | --- | --- |
| 2 0 0 | 4.396 | 100 |
| 2 2 0 | 3.108 | 62 |
| 3 1 0 | 2.780 | 71 |
| 2 2 2 | 2.538 | 23 |
| 3 2 1 | 2.350 | 26 |
| 4 0 2 | 1.966 | 97 |
| 4 2 2 | 1.795 | 77 |
| 4 1 3 | 1.724 | 17 |
| 6 2 0 | 1.390 | 23 |
| 6 2 2 | 1.325 | 24 |

Atomic structure:
```
data_NaGe12Os4
_symmetry_space_group_name_H-M 'I m -3'
_symmetry_Int_Tables_number 204
_symmetry_space_group_name_Hall '-I 2 2 3'
_cell_length_a 8.7919
_cell_length_b 8.7919
_cell_length_c 8.7919
_cell_angle_alpha 90.00
_cell_angle_beta 90.00
_cell_angle_gamma 90.00
loop_
_atom_site_label
_atom_site_fract_x
_atom_site_fract_y
_atom_site_fract_z
_atom_site_occupancy
Na1 0.0000 0.0000 0.0000 1
Ge1 0.0000 0.1588 0.3403 1
Os1 0.2500 0.2500 0.2500 1
```

---

Computed PXRD pattern of NaGeP for CuKα, from the GGA-PBE geometry in Alexandria.
Neutral-atom scattering factors, no anomalous dispersion.

The 10 most intense peaks (2θ = 10–90°), sorted by position:
| h k l | d [Å] | I_rel |
| --- | --- | --- |
| 0 0 3 | 5.739 | 86 |
| 1 0 1 | 3.116 | 68 |
| 0 1 2 | 2.973 | 55 |
| 1 0 4 | 2.551 | 39 |
| 0 1 5 | 2.331 | 100 |
| 1 1 0 | 1.829 | 47 |
| 1 1 3 | 1.743 | 20 |
| 1 0 10 | 1.513 | 24 |
| 2 0 5 | 1.439 | 20 |
| 1 2 5 | 1.131 | 18 |

Atomic structure:
```
data_NaGeP
_symmetry_space_group_name_H-M 'R 3 m'
_symmetry_Int_Tables_number 160
_symmetry_space_group_name_Hall 'R 3 -2"'
_cell_length_a 3.6580
_cell_length_b 3.6580
_cell_length_c 17.2165
_cell_angle_alpha 90.00
_cell_angle_beta 90.00
_cell_angle_gamma 120.00
loop_
_atom_site_label
_atom_site_fract_x
_atom_site_fract_y
_atom_site_fract_z
_atom_site_occupancy
Na1 0.0000 0.0000 0.0000 1
Ge1 0.0000 0.0000 0.1944 1
P1 0.0000 0.0000 0.7920 1
```

---

Computed PXRD pattern of Na2Ge2P3 for CuKα, from the GGA-PBE geometry in Alexandria.
Neutral-atom scattering factors, no anomalous dispersion.

The 10 most intense peaks (2θ = 10–90°), sorted by position:
| h k l | d [Å] | I_rel |
| --- | --- | --- |
| 2 0 0 | 6.238 | 44 |
| 2 0 -1 | 6.117 | 100 |
| 0 0 2 | 3.246 | 20 |
| 1 1 1 | 2.970 | 23 |
| 3 1 -1 | 2.894 | 40 |
| 3 1 0 | 2.777 | 31 |
| 3 1 -2 | 2.528 | 34 |
| 2 0 2 | 2.454 | 19 |
| 2 0 -3 | 2.415 | 23 |
| 5 1 0 | 2.074 | 34 |

Atomic structure:
```
data_Na2Ge2P3
_symmetry_space_group_name_H-M 'C 1 2/m 1'
_symmetry_Int_Tables_number 12
_cell_length_a 14.0476
_cell_length_b 3.7300
_cell_length_c 7.3099
_cell_angle_alpha 90.00
_cell_angle_beta 117.37
_cell_angle_gamma 90.00
loop_
_symmetry_equiv_pos_as_xyz
'x,y,z'
'-x,-y,-z'
'-x,y,-z'
'x,-y,z'
'x+1/2,y+1/2,z'
'-x+1/2,-y+1/2,-z'
'-x+1/2,y+1/2,-z'
'x+1/2,-y+1/2,z'
loop_
_atom_site_label
_atom_site_fract_x
_atom_site_fract_y
_atom_site_fract_z
_atom_site_occupancy
Na1 0.0952 0.0000 0.3332 1
Ge1 0.1756 0.5000 0.8032 1
P1 0.0000 0.5000 0.5000 1
P2 0.2066 0.5000 0.1626 1
```

---

Computed PXRD pattern of NaGeP for CuKα, from the GGA-PBE geometry in Alexandria.
Neutral-atom scattering factors, no anomalous dispersion.

The 10 most intense peaks (2θ = 10–90°), sorted by position:
| h k l | d [Å] | I_rel |
| --- | --- | --- |
| 0 1 1 | 5.177 | 100 |
| 1 1 0 | 5.009 | 24 |
| 0 2 0 | 4.363 | 14 |
| 0 3 1 | 2.650 | 20 |
| 2 1 1 | 2.633 | 35 |
| 0 2 2 | 2.589 | 28 |
| 2 2 0 | 2.505 | 24 |
| 2 0 2 | 2.216 | 27 |
| 0 1 3 | 2.082 | 11 |
| 2 3 1 | 2.003 | 13 |

Atomic structure:
```
data_NaGeP
_symmetry_space_group_name_H-M 'I m m 2'
_symmetry_Int_Tables_number 44
_cell_length_a 6.1175
_cell_length_b 8.7266
_cell_length_c 6.4318
_cell_angle_alpha 90.00
_cell_angle_beta 90.00
_cell_angle_gamma 90.00
loop_
_symmetry_equiv_pos_as_xyz
'x,y,z'
'-x,-y,z'
'-x,y,z'
'x,-y,z'
'x+1/2,y+1/2,z+1/2'
'-x+1/2,-y+1/2,z+1/2'
'-x+1/2,y+1/2,z+1/2'
'x+1/2,-y+1/2,z+1/2'
loop_
_atom_site_label
_atom_site_fract_x
_atom_site_fract_y
_atom_site_fract_z
_atom_site_occupancy
Na1 0.0000 0.2418 0.0000 1
Ge1 0.2198 0.0000 0.2914 1
P1 0.0000 0.1266 0.5543 1
```

---

Computed PXRD pattern of NaGe5P4 for CuKα, from the GGA-PBE geometry in Alexandria.
Neutral-atom scattering factors, no anomalous dispersion.

The 10 most intense peaks (2θ = 10–90°), sorted by position:
| h k l | d [Å] | I_rel |
| --- | --- | --- |
| 1 1 0 | 5.949 | 28 |
| 0 2 0 | 5.253 | 33 |
| 2 0 1 | 3.043 | 26 |
| 0 3 1 | 2.977 | 100 |
| 2 1 1 | 2.923 | 53 |
| 0 4 0 | 2.626 | 27 |
| 0 2 2 | 2.492 | 24 |
| 3 0 1 | 2.214 | 28 |
| 2 2 2 | 2.050 | 51 |
| 2 5 1 | 1.729 | 50 |

Atomic structure:
```
data_NaGe5P4
_symmetry_space_group_name_H-M 'P m m n'
_symmetry_Int_Tables_number 59
_cell_length_a 7.2176
_cell_length_b 10.5056
_cell_length_c 5.6608
_cell_angle_alpha 90.00
_cell_angle_beta 90.00
_cell_angle_gamma 90.00
loop_
_symmetry_equiv_pos_as_xyz
'x,y,z'
'-x,-y,-z'
'-x+1/2,-y+1/2,z'
'x+1/2,y+1/2,-z'
'x+1/2,-y,-z'
'-x+1/2,y,z'
'-x,y+1/2,-z'
'x,-y+1/2,z'
loop_
_atom_site_label
_atom_site_fract_x
_atom_site_fract_y
_atom_site_fract_z
_atom_site_occupancy
Na1 0.2500 0.2500 0.0843 1
Ge1 0.0384 0.5474 0.2925 1
Ge2 0.2500 0.7500 0.6774 1
P1 0.0329 0.2500 0.5372 1
P2 0.2500 0.5483 0.9103 1
```

---

Computed PXRD pattern of Na2GePS4 for CuKα, from the GGA-PBE geometry in Alexandria.
Neutral-atom scattering factors, no anomalous dispersion.

The 10 most intense peaks (2θ = 10–90°), sorted by position:
| h k l | d [Å] | I_rel |
| --- | --- | --- |
| 0 1 0 | 6.758 | 39 |
| 0 1 1 | 4.870 | 64 |
| 2 1 0 | 3.684 | 78 |
| 0 0 2 | 3.512 | 100 |
| 0 2 0 | 3.379 | 46 |
| 2 1 1 | 3.263 | 54 |
| 0 2 2 | 2.435 | 32 |
| 4 0 0 | 2.197 | 32 |
| 2 3 0 | 2.004 | 39 |
| 2 1 3 | 1.976 | 45 |

Atomic structure:
```
data_Na2GePS4
_symmetry_space_group_name_H-M 'P m n 21'
_symmetry_Int_Tables_number 31
_cell_length_a 8.7898
_cell_length_b 6.7577
_cell_length_c 7.0246
_cell_angle_alpha 90.00
_cell_angle_beta 90.00
_cell_angle_gamma 90.00
loop_
_symmetry_equiv_pos_as_xyz
'x,y,z'
'-x+1/2,-y,z+1/2'
'-x,y,z'
'x+1/2,-y,z+1/2'
loop_
_atom_site_label
_atom_site_fract_x
_atom_site_fract_y
_atom_site_fract_z
_atom_site_occupancy
Na1 0.2484 0.2110 0.0000 1
Ge1 0.0000 0.6957 0.0496 1
P1 0.0000 0.3481 0.5409 1
S1 0.0000 0.3880 0.1672 1
S2 0.0000 0.6162 0.6807 1
S3 0.1994 0.1940 0.5993 1
```